# 1
Structure and theoretical PXRD pattern of La3Hg4Au4 (a PBE-relaxed structure; Cu Kα X-rays).
Kinematic intensities with the Lorentz-polarization factor, no thermal factor.

Main lines, most intense first (10° ≤ 2θ ≤ 90°):
- d = 2.739 Å, 2θ = 32.7°, intensity 100
- d = 2.922 Å, 2θ = 30.6°, intensity 96
- d = 2.434 Å, 2θ = 36.9°, intensity 51
- d = 2.220 Å, 2θ = 40.6°, intensity 47
- d = 2.149 Å, 2θ = 42.0°, intensity 46
- d = 2.163 Å, 2θ = 41.8°, intensity 30

```
La3Hg4Au4
1.0
-2.149 4.119 7.881
2.149 -4.119 7.881
2.149 4.119 -7.881
La Hg Au
3 4 4
Direct
0.000 0.000 0.000
0.373 0.873 0.500
0.627 0.127 0.500
0.029 0.334 0.696
0.362 0.666 0.696
0.638 0.334 0.304
0.971 0.666 0.304
0.228 0.228 0.000
0.320 0.500 0.820
0.680 0.500 0.180
0.772 0.772 0.000
```

# 2
Structure and theoretical PXRD pattern of Li2CaInBi2 (a PBE-relaxed structure; Cu Kα X-rays).
Kinematic intensities with the Lorentz-polarization factor, no thermal factor.

Main lines, most intense first (10° ≤ 2θ ≤ 90°):
- d = 3.921 Å, 2θ = 22.7°, intensity 100
- d = 2.821 Å, 2θ = 31.7°, intensity 97
- d = 3.649 Å, 2θ = 24.4°, intensity 83
- d = 4.142 Å, 2θ = 21.5°, intensity 82
- d = 3.853 Å, 2θ = 23.1°, intensity 76
- d = 2.543 Å, 2θ = 35.3°, intensity 54

```
Li2CaInBi2
1.0
4.651 0.000 0.000
0.000 9.110 0.000
0.000 0.000 7.706
Li Ca In Bi
4 2 2 4
Direct
0.000 0.055 0.000
0.000 0.945 0.500
0.500 0.189 0.334
0.500 0.811 0.834
0.500 0.427 0.912
0.500 0.573 0.412
0.000 0.304 0.602
0.000 0.696 0.102
0.000 0.348 0.202
0.000 0.652 0.702
0.500 0.110 0.713
0.500 0.890 0.213
```